# 1
Diffraction record for PmNd12Tl6. The XRD peak list is theoretical, not measured: it uses a structure optimized by DFT (GGA-PBE) and copper Kα.
Kinematic intensities with the Lorentz-polarization factor, no thermal factor.

Main lines, sorted by position (10° ≤ 2θ ≤ 80°):
26.40°, 3.376 Å, intensity 56.1, hkl 1 1 3
27.50°, 3.244 Å, intensity 100.0, hkl 1 3 1
32.96°, 2.717 Å, intensity 49.1, hkl 3 2 1
33.25°, 2.694 Å, intensity 76.5, hkl 0 4 2
34.39°, 2.608 Å, intensity 87.2, hkl 0 2 4
40.16°, 2.245 Å, intensity 64.8, hkl 5 0 2

Structure:
```
data_PmNd12Tl6
_chemical_formula_sum 'Pm3 Nd36 Tl18'
_space_group_name_H-M_alt 'R -3 m'
_space_group_IT_number 166
_space_group_name_Hall '-R 3 2"'
_cell_length_a 14.0728
_cell_length_b 14.0728
_cell_length_c 11.5430
_cell_angle_alpha 90.00
_cell_angle_beta 90.00
_cell_angle_gamma 120.00
loop_
_atom_site_label
_atom_site_type_symbol
_atom_site_fract_x
_atom_site_fract_y
_atom_site_fract_z
_atom_site_occupancy
Pm1 Pm 0.0000 0.0000 0.0000 1
Nd1 Nd 0.0000 0.3912 0.5000 1
Nd2 Nd 0.0875 0.1749 0.3405 1
Tl1 Tl 0.0241 0.5120 0.2538 1
```


# 2
Diffraction record for Pm3Nd4Tl. The XRD peak list is theoretical, not measured: it uses a structure optimized by DFT (GGA-PBE) and copper Kα.
Kinematic intensities with the Lorentz-polarization factor, no thermal factor.

Main lines, sorted by position (10° ≤ 2θ ≤ 80°):
30.43°, 2.937 Å, intensity 100.0, hkl 1 2 2
34.91°, 2.570 Å, intensity 17.4, hkl 0 4 0
35.05°, 2.560 Å, intensity 16.8, hkl 0 0 4
35.88°, 2.503 Å, intensity 16.3, hkl 2 0 0
59.84°, 1.545 Å, intensity 14.6, hkl 1 6 2
61.14°, 1.516 Å, intensity 13.8, hkl 3 2 2

Structure:
```
data_Pm3Nd4Tl
_chemical_formula_sum 'Pm6 Nd8 Tl2'
_space_group_name_H-M_alt 'P m m n'
_space_group_IT_number 59
_cell_length_a 5.005
_cell_length_b 10.281
_cell_length_c 10.241
_cell_angle_alpha 90.00
_cell_angle_beta 90.00
_cell_angle_gamma 90.00
loop_
_space_group_symop_operation_xyz
'x,y,z'
'-x,-y,-z'
'-x+1/2,-y+1/2,z'
'x+1/2,y+1/2,-z'
'x+1/2,-y,-z'
'-x+1/2,y,z'
'-x,y+1/2,-z'
'x,-y+1/2,z'
loop_
_atom_site_label
_atom_site_type_symbol
_atom_site_fract_x
_atom_site_fract_y
_atom_site_fract_z
_atom_site_occupancy
Pm1 Pm 0.250 0.004 0.116 1
Pm2 Pm 0.250 0.750 0.879 1
Nd1 Nd 0.250 0.005 0.634 1
Nd2 Nd 0.250 0.250 0.372 1
Nd3 Nd 0.250 0.750 0.367 1
Tl1 Tl 0.250 0.250 0.878 1
```